# Fe2Cl3F
Calculated powder X-ray diffraction pattern, Cu Ka. Input: the PBE+U geometry in Alexandria.
Lines closer than 0.1° are merged.

Largest 10 diffraction maxima, in order of rising 2θ, 10 to 90 degrees two-theta:
d = 8.110 Å, 10.9 deg, rel. 9; d = 6.669 Å, 13.3 deg, rel. 100; d = 3.046 Å, 29.3 deg, rel. 14; d = 2.921 Å, 30.6 deg, rel. 8; d = 2.638 Å, 34.0 deg, rel. 39; d = 2.518 Å, 35.7 deg, rel. 16; d = 2.458 Å, 36.6 deg, rel. 9; d = 1.925 Å, 47.2 deg, rel. 7; d = 1.798 Å, 50.8 deg, rel. 8; d = 1.732 Å, 52.8 deg, rel. 10

Crystal structure
abc: 8.3785 8.3785 11.8673
angles: 124.48 124.48 24.78
Positions (direct):
Fe  0.2255  0.2255  0.3527
Fe  0.2735  0.2735  0.8911
Fe  0.7265  0.7265  0.1089
Fe  0.7745  0.7745  0.6473
Cl  0.1373  0.1373  0.9249
Cl  0.1529  0.1529  0.4871
Cl  0.3860  0.3860  0.8127
Cl  0.6140  0.6140  0.1873
Cl  0.8471  0.8471  0.5129
Cl  0.8627  0.8627  0.0751
F  0.2826  0.2826  0.2341
F  0.7174  0.7174  0.7659